# Tb2TmAl7Cu2
Computed PXRD pattern, a wavelength of 1.5418 Å. Input: DFT lattice parameters and positions (GGA-PBE).
Intensities are scaled so that the largest is 100.

Crystal structure
```
data_Tb2TmAl7Cu2
_symmetry_space_group_name_H-M 'R -3 m'
_symmetry_Int_Tables_number 166
_symmetry_space_group_name_Hall '-R 3 2"'
_cell_length_a 5.4810
_cell_length_b 5.4810
_cell_length_c 25.4025
_cell_angle_alpha 90.00
_cell_angle_beta 90.00
_cell_angle_gamma 120.00
loop_
_atom_site_label
_atom_site_type_symbol
_atom_site_fract_x
_atom_site_fract_y
_atom_site_fract_z
Tb1 Tb 0.0000 0.0000 0.1418
Tm1 Tm 0.0000 0.0000 0.0000
Al1 Al 0.0000 0.0000 0.5000
Al2 Al 0.0059 0.5030 0.9217
Cu1 Cu 0.0000 0.0000 0.3353
```

Main lines, low angle first (10 to 80 degrees two-theta):
2θ = 19.0°, intensity 44.6, (1 0 1); 2θ = 21.0°, intensity 31.6, (0 0 6); 2θ = 31.0°, intensity 51.9, (1 0 7); 2θ = 32.7°, intensity 88.5, (1 1 0); 2θ = 34.0°, intensity 33.9, (0 1 8); 2θ = 38.1°, intensity 27.8, (0 2 1); 2θ = 39.2°, intensity 100.0, (1 1 6); 2θ = 57.3°, intensity 19.0, (2 1 7); 2θ = 62.7°, intensity 24.5, (3 0 6); 2θ = 64.7°, intensity 27.6, (2 0 14)

=====

# Y2PdS4
Computed PXRD pattern, a wavelength of 1.5418 Å. Input: DFT lattice parameters and positions (GGA-PBE).
Intensities are scaled so that the largest is 100.

Crystal structure
a b c (Å): 11.0482 11.0482 11.0482
angles (deg): 90.00 90.00 90.00
Space group Fd-3m (No. 227, origin choice 2)
Asymmetric unit:
Y: 0.0000 0.0000 0.0000 [16 per cell]
Pd: 0.1250 0.1250 0.6250 [8 per cell]
S: 0.0025 0.0025 0.2475 [32 per cell]

Main lines, low angle first (10 to 80 degrees two-theta):
2θ = 22.8°, intensity 31.9, (2 2 0); 2θ = 26.8°, intensity 100.0, (3 1 1); 2θ = 32.4°, intensity 23.1, (4 0 0); 2θ = 40.0°, intensity 14.2, (4 2 2); 2θ = 42.5°, intensity 39.2, (5 1 1); 2θ = 46.5°, intensity 67.1, (4 4 0); 2θ = 54.5°, intensity 13.3, (5 3 3); 2θ = 64.8°, intensity 22.6, (5 5 3); 2θ = 67.9°, intensity 10.3, (8 0 0); 2θ = 74.4°, intensity 12.3, (5 5 5)

=====

# Na2PdS2O8
Computed PXRD pattern, a wavelength of 1.5418 Å. Input: DFT lattice parameters and positions (GGA-PBE).
Intensities are scaled so that the largest is 100.

Crystal structure
```
data_Na2PdS2O8
_symmetry_space_group_name_H-M 'P -1'
_symmetry_Int_Tables_number 2
_cell_length_a 4.7545
_cell_length_b 5.7453
_cell_length_c 6.8227
_cell_angle_alpha 74.62
_cell_angle_beta 86.01
_cell_angle_gamma 70.66
loop_
_symmetry_equiv_pos_as_xyz
'x,y,z'
'-x,-y,-z'
loop_
_atom_site_label
_atom_site_type_symbol
_atom_site_fract_x
_atom_site_fract_y
_atom_site_fract_z
Na1 Na 0.1998 0.2338 0.1875
Pd1 Pd 0.5000 0.5000 0.5000
S1 S 0.1192 0.1765 0.7201
O1 O 0.1047 0.3505 0.8456
O2 O 0.1891 0.8166 0.3335
O3 O 0.2558 0.2645 0.5168
O4 O 0.2778 0.9091 0.8181
```

Main lines, low angle first (10 to 80 degrees two-theta):
2θ = 13.5°, intensity 100.0, (0 0 1); 2θ = 18.7°, intensity 78.5, (0 1 1); 2θ = 24.2°, intensity 37.5, (1 0 1); 2θ = 27.5°, intensity 49.4, (1 1 -1); 2θ = 28.1°, intensity 68.6, (0 1 2); 2θ = 30.2°, intensity 41.7, (1 -1 0); 2θ = 32.9°, intensity 24.8, (1 2 1); 2θ = 33.5°, intensity 30.3, (1 0 -2); 2θ = 35.1°, intensity 18.8, (1 -1 1); 2θ = 38.2°, intensity 29.9, (2 1 0)

=====

# NaZr3N5
Computed PXRD pattern, a wavelength of 1.5418 Å. Input: DFT lattice parameters and positions (GGA-PBE).
Intensities are scaled so that the largest is 100.

Crystal structure
```
data_NaZr3N5
_symmetry_space_group_name_H-M 'P 6/m m m'
_symmetry_Int_Tables_number 191
_symmetry_space_group_name_Hall '-P 6 2'
_cell_length_a 5.5321
_cell_length_b 5.5321
_cell_length_c 4.5517
_cell_angle_alpha 90.00
_cell_angle_beta 90.00
_cell_angle_gamma 120.00
loop_
_atom_site_label
_atom_site_type_symbol
_atom_site_fract_x
_atom_site_fract_y
_atom_site_fract_z
Na1 Na 0.0000 0.0000 0.0000
Zr1 Zr 0.0000 0.5000 0.5000
N1 N 0.0000 0.0000 0.5000
N2 N 0.3333 0.6667 0.1476
```

Main lines, low angle first (10 to 80 degrees two-theta):
2θ = 18.5°, intensity 39.8, (1 0 0); 2θ = 19.5°, intensity 90.4, (0 0 1); 2θ = 27.0°, intensity 32.4, (1 0 1); 2θ = 37.5°, intensity 76.4, (2 0 0); 2θ = 38.1°, intensity 32.2, (1 1 1); 2θ = 39.6°, intensity 23.6, (0 0 2); 2θ = 42.7°, intensity 100.0, (2 0 1); 2θ = 55.7°, intensity 57.2, (2 0 2); 2θ = 67.8°, intensity 18.8, (2 2 0); 2θ = 71.3°, intensity 15.3, (2 2 1)

=====

Repeat the second record exactly.
# Y2PdS4
Computed PXRD pattern, a wavelength of 1.5418 Å. Input: DFT lattice parameters and positions (GGA-PBE).
Intensities are scaled so that the largest is 100.

Crystal structure
a b c (Å): 11.0482 11.0482 11.0482
angles (deg): 90.00 90.00 90.00
Space group Fd-3m (No. 227, origin choice 2)
Asymmetric unit:
Y: 0.0000 0.0000 0.0000 [16 per cell]
Pd: 0.1250 0.1250 0.6250 [8 per cell]
S: 0.0025 0.0025 0.2475 [32 per cell]

Main lines, low angle first (10 to 80 degrees two-theta):
2θ = 22.8°, intensity 31.9, (2 2 0); 2θ = 26.8°, intensity 100.0, (3 1 1); 2θ = 32.4°, intensity 23.1, (4 0 0); 2θ = 40.0°, intensity 14.2, (4 2 2); 2θ = 42.5°, intensity 39.2, (5 1 1); 2θ = 46.5°, intensity 67.1, (4 4 0); 2θ = 54.5°, intensity 13.3, (5 3 3); 2θ = 64.8°, intensity 22.6, (5 5 3); 2θ = 67.9°, intensity 10.3, (8 0 0); 2θ = 74.4°, intensity 12.3, (5 5 5)